1.
# Er2Ga4NiPd
Simulated powder XRD pattern, Cu Kα (λ = 1.5418 Å). Input: a cell relaxed with PBE.
Lines closer than 0.1° are merged.

```
Er2Ga4NiPd
1.0
6.694 0.000 0.000
0.000 4.238 0.000
0.000 0.000 10.030
Er Ga Ni Pd
4 8 2 2
Cartesian
0.000 0.000 0.000 Er
0.000 2.119 5.015 Er
3.347 0.000 1.560 Er
3.347 2.119 6.575 Er
1.274 0.000 7.137 Ga
1.274 2.119 2.122 Ga
1.974 0.000 4.415 Ga
1.974 2.119 9.430 Ga
4.720 0.000 4.415 Ga
4.720 2.119 9.430 Ga
5.420 0.000 7.137 Ga
5.420 2.119 2.122 Ga
0.000 0.000 2.851 Ni
0.000 2.119 7.866 Ni
3.347 0.000 8.719 Pd
3.347 2.119 3.704 Pd
```

Peak list (12 most intense, 10 to 90 degrees two-theta, by intensity)
d/Å, I_rel
2.541, 100
2.444, 94
2.119, 39
2.348, 39
1.573, 22
2.039, 20
2.065, 18
1.357, 16
3.347, 16
3.904, 14
1.469, 14
1.193, 14


2.
# ErGaNiPt
Simulated powder XRD pattern, Cu Kα (λ = 1.5418 Å). Input: a cell relaxed with PBE.
Lines closer than 0.1° are merged.

```
ErGaNiPt
1.0
4.267 0.000 0.000
-2.134 3.696 0.000
0.000 0.000 8.864
Er Ga Ni Pt
2 2 2 2
Cartesian
0.000 0.000 0.000 Er
0.000 2.464 4.432 Er
2.134 1.232 2.338 Ga
2.134 1.232 6.526 Ga
0.000 0.000 2.947 Ni
0.000 0.000 5.917 Ni
0.000 2.464 1.557 Pt
0.000 2.464 7.308 Pt
```

Peak list (12 most intense, 10 to 90 degrees two-theta, by intensity)
d/Å, I_rel
2.308, 100
2.134, 70
3.696, 38
1.567, 30
1.263, 29
2.838, 15
1.232, 12
1.372, 11
1.215, 11
1.154, 7
1.848, 6
3.411, 6


3.
# TbErGa4Ni2
Simulated powder XRD pattern, Cu Kα (λ = 1.5418 Å). Input: a cell relaxed with PBE.
Lines closer than 0.1° are merged.

```
TbErGa4Ni2
1.0
6.699 0.000 0.000
0.000 4.080 0.000
0.000 0.000 10.054
Tb Er Ga Ni
2 2 8 4
Cartesian
0.000 0.000 0.000 Tb
0.000 2.040 5.027 Tb
3.349 0.000 8.676 Er
3.349 2.040 3.649 Er
1.321 0.000 2.876 Ga
1.321 2.040 7.902 Ga
2.041 0.000 5.811 Ga
2.041 2.040 0.784 Ga
4.658 0.000 5.811 Ga
4.658 2.040 0.784 Ga
5.378 0.000 2.876 Ga
5.378 2.040 7.902 Ga
0.000 0.000 7.218 Ni
0.000 2.040 2.191 Ni
3.349 0.000 1.451 Ni
3.349 2.040 6.478 Ni
```

Peak list (12 most intense, 10 to 90 degrees two-theta, by intensity)
d/Å, I_rel
2.507, 100
2.415, 79
2.040, 56
2.353, 41
1.541, 22
2.590, 19
1.355, 17
1.403, 15
1.443, 14
3.780, 13
1.691, 13
3.349, 12


4.
# ErZnGaNi
Simulated powder XRD pattern, Cu Kα (λ = 1.5418 Å). Input: a cell relaxed with PBE.
Lines closer than 0.1° are merged.

```
ErZnGaNi
1.0
9.487 0.000 0.000
0.000 4.079 0.000
-0.118 0.000 6.963
Er Zn Ga Ni
4 4 4 4
Cartesian
0.624 0.000 1.720 Er
4.002 2.040 5.243 Er
5.367 2.040 1.720 Er
8.745 0.000 5.243 Er
1.288 2.040 6.592 Zn
3.337 0.000 0.371 Zn
6.032 0.000 6.592 Zn
8.081 2.040 0.371 Zn
1.275 2.040 3.881 Ga
3.350 0.000 3.081 Ga
6.018 0.000 3.881 Ga
8.094 2.040 3.081 Ga
1.974 0.000 5.144 Ni
2.651 2.040 1.818 Ni
6.717 2.040 5.144 Ni
7.395 0.000 1.818 Ni
```

Peak list (12 most intense, 10 to 90 degrees two-theta, by intensity)
d/Å, I_rel
2.542, 100
2.559, 87
2.362, 79
2.342, 70
2.040, 70
2.256, 34
2.499, 32
2.233, 32
2.099, 29
3.481, 28
1.286, 27
3.747, 26


Number 3 is which compound?
TbErGa4Ni2